No. 1
Simulated powder diffraction line list of Mn4O7F for Cu Ka, from a DFT-relaxed cell (GGA+U, Alexandria).

Main lines, low angle first (5° ≤ 2θ ≤ 70°):
25.69°, rel. 58, (0 2 1); 31.45°, rel. 100, (2 2 -1); 36.14°, rel. 12, (4 0 0); 37.40°, rel. 22, (2 0 2); 42.70°, rel. 17, (2 2 2); 44.87°, rel. 18, (4 2 1); 54.12°, rel. 14, (0 2 3); 55.26°, rel. 24, (4 4 0); 56.18°, rel. 38, (2 4 2); 62.07°, rel. 14, (6 2 -1)

Cell and atoms:
```
data_Mn4O7F
_chemical_formula_sum 'Mn16 O28 F4'
_cell_length_a 9.942
_cell_length_b 8.944
_cell_length_c 5.494
_cell_angle_alpha 90.00
_cell_angle_beta 90.12
_cell_angle_gamma 90.00
_space_group_name_H-M_alt 'C 1 c 1'
_space_group_IT_number 9
loop_
_space_group_symop_operation_xyz
'x,y,z'
'x,-y,z+1/2'
'x+1/2,y+1/2,z'
'x+1/2,-y+1/2,z+1/2'
loop_
_atom_site_label
_atom_site_type_symbol
_atom_site_fract_x
_atom_site_fract_y
_atom_site_fract_z
Mn1 Mn 0.000 0.117 0.000
Mn2 Mn 0.251 0.128 0.723
Mn3 Mn 0.252 0.380 0.221
Mn4 Mn 0.495 0.122 0.039
O1 O 0.085 0.238 0.758
O2 O 0.162 0.490 0.483
O3 O 0.165 0.005 0.974
O4 O 0.336 0.245 0.983
O5 O 0.337 0.262 0.476
O6 O 0.413 0.016 0.766
O7 O 0.413 0.497 0.256
F1 F 0.086 0.252 0.247
```


No. 2
Simulated powder diffraction line list of Ti15VO24 for Cu Ka, from a DFT-relaxed cell (GGA+U, Alexandria).

Main lines, low angle first (5° ≤ 2θ ≤ 70°):
23.76°, rel. 69, (1 1 -1); 32.54°, rel. 89, (2 0 0); 35.12°, rel. 80, (0 2 -2); 40.20°, rel. 37, (0 4 2); 42.84°, rel. 7, (-2 2 2); 48.63°, rel. 35, (0 4 4); 53.04°, rel. 100, (2 4 0); 56.55°, rel. 7, (2 -4 0); 61.38°, rel. 29, (0 2 6); 63.00°, rel. 45, (1 1 -5)

Cell and atoms:
```
data_Ti15VO24
_chemical_formula_sum 'Ti15 V1 O24'
_cell_length_a 5.534
_cell_length_b 9.105
_cell_length_c 9.106
_cell_angle_alpha 68.30
_cell_angle_beta 84.84
_cell_angle_gamma 84.85
_space_group_name_H-M_alt 'P 1'
_space_group_IT_number 1
loop_
_space_group_symop_operation_xyz
'x,y,z'
loop_
_atom_site_label
_atom_site_type_symbol
_atom_site_fract_x
_atom_site_fract_y
_atom_site_fract_z
Ti1 Ti 0.000 0.000 0.000
Ti2 Ti 0.000 0.249 0.252
Ti3 Ti 0.002 0.499 0.502
Ti4 Ti 0.116 0.153 0.656
Ti5 Ti 0.116 0.654 0.155
Ti6 Ti 0.117 0.404 0.905
Ti7 Ti 0.118 0.903 0.404
Ti8 Ti 0.499 0.251 0.750
Ti9 Ti 0.499 0.501 0.001
Ti10 Ti 0.501 0.749 0.249
Ti11 Ti 0.502 0.999 0.499
Ti12 Ti 0.616 0.654 0.653
Ti13 Ti 0.616 0.904 0.904
Ti14 Ti 0.619 0.154 0.153
Ti15 Ti 0.999 0.749 0.750
V1 V 0.618 0.404 0.405
O1 O 0.151 0.608 0.953
O2 O 0.153 0.201 0.859
O3 O 0.153 0.701 0.358
O4 O 0.154 0.106 0.453
O5 O 0.299 0.358 0.553
O6 O 0.307 0.858 0.046
O7 O 0.308 0.795 0.608
O8 O 0.309 0.296 0.109
O9 O 0.463 0.452 0.796
O10 O 0.465 0.046 0.701
O11 O 0.465 0.552 0.194
O12 O 0.465 0.952 0.295
O13 O 0.650 0.702 0.858
O14 O 0.652 0.108 0.952
O15 O 0.654 0.612 0.452
O16 O 0.657 0.193 0.359
O17 O 0.808 0.359 0.047
O18 O 0.808 0.797 0.108
O19 O 0.808 0.857 0.546
O20 O 0.811 0.295 0.613
O21 O 0.962 0.545 0.703
O22 O 0.964 0.951 0.797
O23 O 0.965 0.046 0.202
O24 O 0.973 0.451 0.297
```